Structure and computed powder X-ray diffraction pattern of K2CdAgF6 (a DFT-relaxed cell (GGA-PBE, Alexandria); Cu Kα, 1.54184 Å).
Kinematic intensities with the Lorentz-polarization factor, no thermal factor.

Atomic structure:
a b c (Å): 6.2896 6.2896 6.1701
angles (deg): 118.34 118.34 57.83
Atoms (fractional coordinates):
K 0.2473 0.2473 0.2332
K 0.7527 0.7527 0.7668
Cd 0.0000 0.0000 0.5000
Ag 0.5000 0.5000 0.0000
F 0.2030 0.6916 0.1878
F 0.2290 0.2290 0.6415
F 0.3084 0.7970 0.8122
F 0.6916 0.2030 0.1878
F 0.7710 0.7710 0.3585
F 0.7970 0.3084 0.8122

Peak list (8 most intense, 2θ = 15–90°, low angle first)
2θ (°), d/Å, intensity
19.2, 4.626, 44
20.5, 4.331, 86
28.0, 3.186, 100
28.4, 3.138, 87
28.9, 3.084, 35
29.4, 3.041, 40
41.7, 2.166, 66
51.3, 1.782, 36